[1]
# PuPaF6
Simulated powder diffraction line list, Cu Kα. Input: a structure optimized by DFT (GGA-PBE).
Lines closer than 0.1° are merged.

Cell lengths 4.353, 4.353, 7.116 Å; angles 106.54, 106.54, 75.70 degrees
Sites, in units of the cell vectors:
Pu  0.000  0.000  0.000
Pa  0.500  0.500  0.500
F  0.115  0.583  0.198
F  0.166  0.166  0.456
F  0.417  0.885  0.802
F  0.583  0.115  0.198
F  0.834  0.834  0.544
F  0.885  0.417  0.802

Most intense lines, 10 to 80 degrees two-theta, sorted by position:
2θ (°), I/Imax
22.7, 100
26.9, 30
27.8, 25
28.1, 51
31.0, 18
33.6, 16
41.7, 23
43.0, 25
43.5, 27
44.1, 19



[2]
# La2Pr2NdY
Simulated powder diffraction line list, Cu Kα. Input: a structure optimized by DFT (GGA-PBE).
Lines closer than 0.1° are merged.

Cell lengths 7.209, 5.844, 10.098 Å; angles 90.00, 90.00, 90.00 degrees
Sites, in units of the cell vectors:
La  0.000  0.000  0.000
La  0.250  0.500  0.173
La  0.500  0.000  0.000
La  0.750  0.500  0.827
Pr  0.250  0.000  0.332
Pr  0.250  0.500  0.835
Pr  0.750  0.000  0.668
Pr  0.750  0.500  0.165
Nd  0.250  0.000  0.660
Nd  0.750  0.000  0.340
Y  0.000  0.500  0.500
Y  0.500  0.500  0.500

Most intense lines, 10 to 80 degrees two-theta, sorted by position:
2θ (°), I/Imax
24.7, 10
30.5, 84
30.6, 100
39.7, 18
43.7, 31
54.3, 33
54.4, 13
60.4, 29
72.3, 9
77.6, 14



[3]
# KIrRuO6
Simulated powder diffraction line list, Cu Kα. Input: a structure optimized by DFT (GGA-PBE).
Lines closer than 0.1° are merged.

Cell lengths 5.332, 5.332, 5.806 Å; angles 90.00, 90.00, 120.00 degrees
Sites, in units of the cell vectors:
K  0.000  0.000  0.000
Ir  0.667  0.333  0.500
Ru  0.333  0.667  0.500
O  0.001  0.390  0.679
O  0.001  0.611  0.321
O  0.389  0.390  0.321
O  0.389  0.999  0.679
O  0.610  0.611  0.679
O  0.610  0.999  0.321

Most intense lines, 10 to 80 degrees two-theta, sorted by position:
2θ (°), I/Imax
15.3, 100
19.2, 40
24.6, 97
30.8, 15
33.6, 41
37.1, 45
42.1, 18
46.2, 53
54.9, 20
59.0, 17



What is the formula in the second record? La2Pr2NdY



Which formula does entry 2 have? La2Pr2NdY